Theoretical powder diffractogram of GdP4H4NO12 for Cu Kα (λ = 1.5418 Å), from a structure optimized by DFT (GGA-PBE).
No peak broadening, texture or thermal motion is included.

Structure:
abc: 7.7026 12.2073 10.3661
angles: 90.00 110.58 90.00
Space group C2/c (No. 15)
Asymmetric unit:
Gd1 0.0000 0.1191 0.2500 [4 per cell]
P1 0.0382 0.3246 0.5004 [8 per cell]
P2 0.2145 0.4814 0.9296 [8 per cell]
H1 0.0559 0.1266 0.8348 [8 per cell]
H2 0.1038 0.2259 0.7374 [8 per cell]
N1 0.0000 0.1780 0.7500 [4 per cell]
O1 0.0622 0.4233 0.4068 [8 per cell]
O2 0.0673 0.2364 0.0956 [8 per cell]
O3 0.0962 0.3728 0.9246 [8 per cell]
O4 0.1423 0.0065 0.9291 [8 per cell]
O5 0.2142 0.2953 0.6157 [8 per cell]
O6 0.2295 0.0209 0.1937 [8 per cell]

Principal peaks in the range 5 to 70 degrees two-theta, low angle first:
Position (°2θ), I (rel.), h k l
14.43, 65.3, 1 1 -1
17.16, 100.0, 0 2 1
19.51, 30.5, 1 1 -2
26.52, 67.7, 1 1 2
28.26, 25.1, 1 3 1
28.51, 60.8, 1 3 -2
38.65, 33.0, 2 4 0
50.77, 21.5, 2 6 -1

***

Theoretical powder diffractogram of Li3Sm2DyPb3 for Cu Kα (λ = 1.5418 Å), from a structure optimized by DFT (GGA-PBE).
No peak broadening, texture or thermal motion is included.

Structure:
abc: 4.8278 4.8278 11.0472
angles: 90.00 90.00 120.00
Space group P-6m2 (No. 187)
Asymmetric unit:
Li1 0.0000 0.0000 0.0000 [1 per cell]
Li2 0.3333 0.6667 0.3137 [2 per cell]
Sm1 0.6667 0.3333 0.1668 [2 per cell]
Dy1 0.6667 0.3333 0.5000 [1 per cell]
Pb1 0.0000 0.0000 0.3332 [2 per cell]
Pb2 0.3333 0.6667 0.0000 [1 per cell]

Principal peaks in the range 5 to 70 degrees two-theta, low angle first:
Position (°2θ), I (rel.), h k l
22.74, 45.4, 1 0 1
26.74, 30.5, 1 0 2
32.40, 100.0, 1 0 3
37.25, 65.1, 1 1 0
46.47, 14.2, 2 0 2
50.18, 29.7, 2 0 3
63.55, 27.8, 1 1 6
64.13, 28.7, 2 1 3

***

Theoretical powder diffractogram of NbCuGeW for Cu Kα (λ = 1.5418 Å), from a structure optimized by DFT (GGA-PBE).
No peak broadening, texture or thermal motion is included.

Structure:
abc: 6.2987 6.2987 6.2987
angles: 90.00 90.00 90.00
Space group F-43m (No. 216)
Asymmetric unit:
Nb1 0.0000 0.0000 0.0000 [4 per cell]
Cu1 0.2500 0.2500 0.7500 [4 per cell]
Ge1 0.0000 0.0000 0.5000 [4 per cell]
W1 0.2500 0.2500 0.2500 [4 per cell]

Principal peaks in the range 5 to 70 degrees two-theta, low angle first:
Position (°2θ), I (rel.), h k l
24.48, 17.8, 1 1 1
28.34, 4.5, 2 0 0
40.51, 100.0, 2 2 0
47.90, 9.3, 3 1 1
50.17, 1.3, 2 2 2
58.63, 16.6, 4 0 0
64.48, 4.0, 3 3 1
66.37, 1.7, 4 2 0